1.
This entry pairs a crystal structure of BaCd3Ag3 with its computed powder X-ray diffraction pattern. Radiation: Cu Ka. Structure: a GGA-PBE-relaxed structure.
Peak positions follow from Bragg's law for the DFT cell and can differ from measured ones.

Crystal structure
```
data_BaCd3Ag3
_chemical_formula_sum 'Ba6 Cd18 Ag18'
_space_group_name_H-M_alt 'R -3 m'
_space_group_IT_number 166
_space_group_name_Hall '-R 3 2"'
_cell_length_a 8.0954
_cell_length_b 8.0954
_cell_length_c 18.6283
_cell_angle_alpha 90.00
_cell_angle_beta 90.00
_cell_angle_gamma 120.00
loop_
_atom_site_label
_atom_site_type_symbol
_atom_site_fract_x
_atom_site_fract_y
_atom_site_fract_z
Ba1 Ba 0.0000 0.0000 0.1336
Cd1 Cd 0.0773 0.5387 0.3564
Ag1 Ag 0.0883 0.5441 0.1047
```

Top 8 peaks for 5° ≤ 2θ ≤ 70°, sorted by position:
| 2theta | I_rel | hkl |
| --- | --- | --- |
| 13.49 | 189 | 1 0 1 |
| 26.28 | 191 | 1 1 3 |
| 31.96 | 1000 | 0 2 4 |
| 34.18 | 507 | 2 1 1 |
| 35.15 | 156 | 2 0 5 |
| 36.10 | 281 | 1 0 7 |
| 41.28 | 474 | 3 0 3 |
| 50.89 | 182 | 1 3 4 |

2.
This entry pairs a crystal structure of LiDyNi5 with its computed powder X-ray diffraction pattern. Radiation: Cu Ka. Structure: a GGA-PBE-relaxed structure.
Peak positions follow from Bragg's law for the DFT cell and can differ from measured ones.

Crystal structure
```
data_LiDyNi5
_chemical_formula_sum 'Li4 Dy4 Ni20'
_space_group_name_H-M_alt 'P n m a'
_space_group_IT_number 62
_cell_length_a 7.888
_cell_length_b 4.823
_cell_length_c 9.981
_cell_angle_alpha 90.00
_cell_angle_beta 90.00
_cell_angle_gamma 90.00
loop_
_space_group_symop_operation_xyz
'x,y,z'
'-x,-y,-z'
'-x+1/2,-y,z+1/2'
'x+1/2,y,-z+1/2'
'x+1/2,-y+1/2,-z+1/2'
'-x+1/2,y+1/2,z+1/2'
'-x,y+1/2,-z'
'x,-y+1/2,z'
loop_
_atom_site_label
_atom_site_type_symbol
_atom_site_fract_x
_atom_site_fract_y
_atom_site_fract_z
Li1 Li 0.134 0.250 0.145
Dy1 Dy 0.244 0.750 0.941
Ni1 Ni 0.060 0.250 0.898
Ni2 Ni 0.072 0.503 0.688
Ni3 Ni 0.095 0.750 0.482
Ni4 Ni 0.182 0.750 0.251
```

Top 8 peaks for 5° ≤ 2θ ≤ 70°, sorted by position:
| 2theta | I_rel | hkl |
| --- | --- | --- |
| 21.06 | 189 | 1 0 2 |
| 23.38 | 254 | 1 1 1 |
| 37.81 | 279 | 1 0 4 |
| 40.09 | 1000 | 3 1 1 |
| 43.21 | 210 | 1 2 2 |
| 46.98 | 320 | 1 0 5 |
| 47.99 | 197 | 1 2 3 |
| 69.12 | 184 | 3 3 1 |

3.
This entry pairs a crystal structure of La2Sm12Tl with its computed powder X-ray diffraction pattern. Radiation: Cu Ka. Structure: a GGA-PBE-relaxed structure.
Peak positions follow from Bragg's law for the DFT cell and can differ from measured ones.

Crystal structure
```
data_La2Sm12Tl
_chemical_formula_sum 'La4 Sm24 Tl2'
_space_group_name_H-M_alt 'P 4/n b m'
_space_group_IT_number 125
_cell_length_a 6.730
_cell_length_b 6.730
_cell_length_c 23.652
_cell_angle_alpha 90.00
_cell_angle_beta 90.00
_cell_angle_gamma 90.00
loop_
_space_group_symop_operation_xyz
'x,y,z'
'-x,-y,-z'
'-y+1/2,x,z'
'y+1/2,-x,-z'
'-x+1/2,-y+1/2,z'
'x+1/2,y+1/2,-z'
'y,-x+1/2,z'
'-y,x+1/2,-z'
'x,-y+1/2,-z'
'-x,y+1/2,z'
'-y+1/2,-x+1/2,-z'
'y+1/2,x+1/2,z'
'-x+1/2,y,-z'
'x+1/2,-y,z'
'y,x,-z'
'-y,-x,z'
loop_
_atom_site_label
_atom_site_type_symbol
_atom_site_fract_x
_atom_site_fract_y
_atom_site_fract_z
La1 La 0.250 0.750 0.247
Sm1 Sm 0.004 0.504 0.092
Sm2 Sm 0.084 0.584 0.565
Sm3 Sm 0.250 0.250 0.199
Sm4 Sm 0.250 0.250 0.330
Tl1 Tl 0.250 0.750 0.000
```

Top 8 peaks for 5° ≤ 2θ ≤ 70°, sorted by position:
| 2theta | I_rel | hkl |
| --- | --- | --- |
| 20.11 | 467 | 1 1 2 |
| 24.00 | 416 | 1 1 4 |
| 27.56 | 1000 | 2 0 2 |
| 30.59 | 886 | 2 0 4 |
| 32.66 | 474 | 2 0 5 |
| 35.06 | 782 | 2 0 6 |
| 37.81 | 846 | 2 2 0 |
| 53.02 | 566 | 3 1 8 |

4.
This entry pairs a crystal structure of TbB3Ru3 with its computed powder X-ray diffraction pattern. Radiation: Cu Ka. Structure: a GGA-PBE-relaxed structure.
Peak positions follow from Bragg's law for the DFT cell and can differ from measured ones.

Crystal structure
```
data_TbB3Ru3
_chemical_formula_sum 'Tb4 B12 Ru12'
_space_group_name_H-M_alt 'P 1 21 1'
_space_group_IT_number 4
_cell_length_a 7.435
_cell_length_b 6.873
_cell_length_c 7.483
_cell_angle_alpha 90.00
_cell_angle_beta 102.61
_cell_angle_gamma 90.00
loop_
_space_group_symop_operation_xyz
'x,y,z'
'-x,y+1/2,-z'
loop_
_atom_site_label
_atom_site_type_symbol
_atom_site_fract_x
_atom_site_fract_y
_atom_site_fract_z
Tb1 Tb 0.021 0.000 0.270
Tb2 Tb 0.450 0.433 0.155
B1 B 0.076 0.389 0.099
B2 B 0.156 0.629 0.200
B3 B 0.206 0.815 0.622
B4 B 0.315 0.309 0.821
B5 B 0.363 0.004 0.121
B6 B 0.444 0.090 0.461
Ru1 Ru 0.059 0.424 0.368
Ru2 Ru 0.144 0.158 0.939
Ru3 Ru 0.202 0.779 0.977
Ru4 Ru 0.240 0.154 0.590
Ru5 Ru 0.360 0.788 0.399
Ru6 Ru 0.378 0.562 0.714
```

Top 8 peaks for 5° ≤ 2θ ≤ 70°, sorted by position:
| 2theta | I_rel | hkl |
| --- | --- | --- |
| 28.14 | 523 | 2 1 -1 |
| 30.72 | 836 | 2 0 -2 |
| 32.36 | 875 | 1 2 1 |
| 32.50 | 946 | 1 1 2 |
| 35.88 | 743 | 0 2 2 |
| 36.00 | 1000 | 2 2 0 |
| 39.27 | 619 | 0 1 3 |
| 41.31 | 765 | 0 3 1 |

5.
This entry pairs a crystal structure of Dy2Y2ErTm2 with its computed powder X-ray diffraction pattern. Radiation: Cu Ka. Structure: a GGA-PBE-relaxed structure.
Peak positions follow from Bragg's law for the DFT cell and can differ from measured ones.

Crystal structure
```
data_Dy2Y2ErTm2
_chemical_formula_sum 'Dy6 Y6 Er3 Tm6'
_space_group_name_H-M_alt 'R -3 m'
_space_group_IT_number 166
_space_group_name_Hall '-R 3 2"'
_cell_length_a 5.6244
_cell_length_b 5.6244
_cell_length_c 24.2786
_cell_angle_alpha 90.00
_cell_angle_beta 90.00
_cell_angle_gamma 120.00
loop_
_atom_site_label
_atom_site_type_symbol
_atom_site_fract_x
_atom_site_fract_y
_atom_site_fract_z
Dy1 Dy 0.0000 0.0000 0.2137
Y1 Y 0.0000 0.0000 0.3587
Er1 Er 0.0000 0.0000 0.5000
Tm1 Tm 0.0000 0.0000 0.0708
```

Top 8 peaks for 5° ≤ 2θ ≤ 70°, sorted by position:
| 2theta | I_rel | hkl |
| --- | --- | --- |
| 10.93 | 59 | 0 0 3 |
| 31.67 | 1000 | 1 0 7 |
| 31.82 | 989 | 1 1 0 |
| 45.51 | 367 | 0 2 7 |
| 56.31 | 198 | 0 1 14 |
| 56.63 | 576 | 3 0 0 |
| 66.15 | 123 | 2 0 14 |
| 66.50 | 118 | 2 2 0 |

6.
This entry pairs a crystal structure of AcTl2O4 with its computed powder X-ray diffraction pattern. Radiation: Cu Ka. Structure: a GGA-PBE-relaxed structure.
Peak positions follow from Bragg's law for the DFT cell and can differ from measured ones.

Crystal structure
```
data_AcTl2O4
_chemical_formula_sum 'Ac4 Tl8 O16'
_space_group_name_H-M_alt 'I -4 2 d'
_space_group_IT_number 122
_space_group_name_Hall 'I -4 2bw'
_cell_length_a 8.362
_cell_length_b 8.362
_cell_length_c 7.110
_cell_angle_alpha 90.00
_cell_angle_beta 90.00
_cell_angle_gamma 90.00
loop_
_atom_site_label
_atom_site_type_symbol
_atom_site_fract_x
_atom_site_fract_y
_atom_site_fract_z
Ac1 Ac 0.000 0.000 0.000
Tl1 Tl 0.107 0.250 0.625
O1 O 0.002 0.706 0.919
```

Top 8 peaks for 5° ≤ 2θ ≤ 70°, sorted by position:
| 2theta | I_rel | hkl |
| --- | --- | --- |
| 26.94 | 1000 | 2 1 1 |
| 29.31 | 346 | 1 1 2 |
| 33.90 | 204 | 3 1 0 |
| 34.57 | 161 | 3 0 1 |
| 39.52 | 173 | 1 0 3 |
| 42.61 | 133 | 3 1 2 |
| 48.70 | 155 | 4 2 0 |
| 56.53 | 142 | 5 0 1 |